Starting from a structure optimized by DFT (PBE), the XRD peak list of TbDyHo2S6 was computed for Cu Kα X-rays.
Neutral-atom scattering factors, no anomalous dispersion.

The 6 most intense peaks (5 to 70 degrees two-theta), sorted by position:
2theta  d_spacing  I (rel.)  index
24.34  3.657  97  1 0 4
25.81  3.452  100  1 1 0
35.77  2.510  46  0 2 4
39.18  2.299  83  1 1 6
44.63  2.030  46  2 1 4
45.51  1.993  48  3 0 0

Cell and atoms:
```
data_TbDyHo2S6
_chemical_formula_sum 'Tb3 Dy3 Ho6 S18'
_symmetry_space_group_name_H-M 'R 3'
_symmetry_Int_Tables_number 146
_symmetry_space_group_name_Hall 'R 3'
_cell_length_a 6.9037
_cell_length_b 6.9037
_cell_length_c 18.4927
_cell_angle_alpha 90.00
_cell_angle_beta 90.00
_cell_angle_gamma 120.00
loop_
_atom_site_label
_atom_site_fract_x
_atom_site_fract_y
_atom_site_fract_z
_atom_site_occupancy
Tb1 0.0000 0.0000 0.0000 1
Dy1 0.0000 0.0000 0.4995 1
Ho1 0.0000 0.0000 0.2985 1
Ho2 0.0000 0.0000 0.7989 1
S1 0.0030 0.7003 0.8982 1
S2 0.0048 0.3025 0.3984 1
```



Starting from a structure optimized by DFT (PBE), the XRD peak list of TbDy2HoS4 was computed for Cu Kα X-rays.
Neutral-atom scattering factors, no anomalous dispersion.

The 6 most intense peaks (5 to 70 degrees two-theta), sorted by position:
2theta  d_spacing  I (rel.)  index
27.84  3.204  42  2 0 0
28.13  3.172  41  1 1 -1
32.43  2.761  100  1 1 1
46.51  1.953  48  3 1 -1
54.93  1.671  14  3 1 1
55.42  1.658  13  2 2 0

Cell and atoms:
```
data_TbDy2HoS4
_chemical_formula_sum 'Tb1 Dy2 Ho1 S4'
_symmetry_space_group_name_H-M 'P 1 2/m 1'
_symmetry_Int_Tables_number 10
_cell_length_a 6.776
_cell_length_b 3.874
_cell_length_c 6.789
_cell_angle_alpha 90.00
_cell_angle_beta 109.12
_cell_angle_gamma 90.00
loop_
_symmetry_equiv_pos_as_xyz
'x,y,z'
'-x,-y,-z'
'-x,y,-z'
'x,-y,z'
loop_
_atom_site_label
_atom_site_fract_x
_atom_site_fract_y
_atom_site_fract_z
_atom_site_occupancy
Tb1 0.000 0.000 0.000 1
Dy1 0.500 0.000 0.500 1
Dy2 0.500 0.500 0.000 1
Ho1 0.000 0.500 0.500 1
S1 0.249 0.000 0.748 1
S2 0.251 0.500 0.252 1
```



Starting from a structure optimized by DFT (PBE), the XRD peak list of DyHo3Tl4S8 was computed for Cu Kα X-rays.
Neutral-atom scattering factors, no anomalous dispersion.

The 6 most intense peaks (5 to 70 degrees two-theta), sorted by position:
2theta  d_spacing  I (rel.)  index
23.65  3.761  32  0 0 6
26.82  3.324  65  2 0 2
30.18  2.961  100  0 2 4
41.20  2.191  39  2 0 8
45.15  2.008  34  2 2 0
51.59  1.772  25  2 2 6

Cell and atoms:
```
data_DyHo3Tl4S8
_chemical_formula_sum 'Dy3 Ho9 Tl12 S24'
_symmetry_space_group_name_H-M 'R -3 m'
_symmetry_Int_Tables_number 166
_symmetry_space_group_name_Hall '-R 3 2"'
_cell_length_a 8.0334
_cell_length_b 8.0334
_cell_length_c 22.5687
_cell_angle_alpha 90.00
_cell_angle_beta 90.00
_cell_angle_gamma 120.00
loop_
_atom_site_label
_atom_site_fract_x
_atom_site_fract_y
_atom_site_fract_z
_atom_site_occupancy
Dy1 0.0000 0.0000 0.0000 1
Ho1 0.0000 0.5000 0.0000 1
Tl1 0.0000 0.0000 0.5000 1
Tl2 0.0000 0.5000 0.5000 1
S1 0.0000 0.0000 0.2678 1
S2 0.0010 0.5005 0.2676 1
```



Starting from a structure optimized by DFT (PBE), the XRD peak list of DyYHo4S8 was computed for Cu Kα X-rays.
Neutral-atom scattering factors, no anomalous dispersion.

The 6 most intense peaks (5 to 70 degrees two-theta), sorted by position:
2theta  d_spacing  I (rel.)  index
22.16  4.012  31  1 0 4
26.05  3.421  100  0 2 1
31.54  2.836  16  0 2 4
41.35  2.184  43  0 2 7
45.21  2.006  56  2 2 0
62.92  1.477  24  4 0 7

Cell and atoms:
```
data_DyYHo4S8
_chemical_formula_sum 'Dy3 Y3 Ho12 S24'
_symmetry_space_group_name_H-M 'R 3 m'
_symmetry_Int_Tables_number 160
_symmetry_space_group_name_Hall 'R 3 -2"'
_cell_length_a 8.0191
_cell_length_b 8.0191
_cell_length_c 19.6689
_cell_angle_alpha 90.00
_cell_angle_beta 90.00
_cell_angle_gamma 120.00
loop_
_atom_site_label
_atom_site_fract_x
_atom_site_fract_y
_atom_site_fract_z
_atom_site_occupancy
Dy1 0.0000 0.0000 0.0000 1
Y1 0.0000 0.0000 0.6252 1
Ho1 0.0000 0.0000 0.2505 1
Ho2 0.0003 0.5002 0.1254 1
S1 0.0000 0.0000 0.3830 1
S2 0.0000 0.0000 0.8671 1
S3 0.0196 0.5098 0.3786 1
S4 0.1758 0.3516 0.2055 1
```



Starting from a structure optimized by DFT (PBE), the XRD peak list of DyYHo2S4 was computed for Cu Kα X-rays.
Neutral-atom scattering factors, no anomalous dispersion.

The 6 most intense peaks (5 to 70 degrees two-theta), sorted by position:
2theta  d_spacing  I (rel.)  index
27.89  3.199  38  2 0 0
28.18  3.166  37  1 1 -1
32.49  2.756  100  1 1 1
46.59  1.949  48  3 1 -1
55.03  1.669  12  3 1 1
57.63  1.600  13  4 0 0

Cell and atoms:
```
data_DyYHo2S4
_chemical_formula_sum 'Dy1 Y1 Ho2 S4'
_symmetry_space_group_name_H-M 'P 1 2/m 1'
_symmetry_Int_Tables_number 10
_cell_length_a 6.768
_cell_length_b 3.867
_cell_length_c 6.775
_cell_angle_alpha 90.00
_cell_angle_beta 109.11
_cell_angle_gamma 90.00
loop_
_symmetry_equiv_pos_as_xyz
'x,y,z'
'-x,-y,-z'
'-x,y,-z'
'x,-y,z'
loop_
_atom_site_label
_atom_site_fract_x
_atom_site_fract_y
_atom_site_fract_z
_atom_site_occupancy
Dy1 0.000 0.000 0.000 1
Y1 0.500 0.500 0.000 1
Ho1 0.000 0.500 0.500 1
Ho2 0.500 0.000 0.500 1
S1 0.248 0.000 0.747 1
S2 0.250 0.500 0.252 1
```



Starting from a structure optimized by DFT (PBE), the XRD peak list of Dy3Y2HoS6 was computed for Cu Kα X-rays.
Neutral-atom scattering factors, no anomalous dispersion.

The 6 most intense peaks (5 to 70 degrees two-theta), sorted by position:
2theta  d_spacing  I (rel.)  index
27.99  3.188  71  2 0 0
32.43  2.761  100  1 3 1
46.46  1.954  36  0 6 0
46.57  1.950  36  2 0 2
55.11  1.666  17  2 6 0
57.80  1.595  18  0 0 4

Cell and atoms:
```
data_Dy3Y2HoS6
_chemical_formula_sum 'Dy6 Y4 Ho2 S12'
_symmetry_space_group_name_H-M 'C 1 2/m 1'
_symmetry_Int_Tables_number 12
_cell_length_a 6.749
_cell_length_b 11.740
_cell_length_c 6.763
_cell_angle_alpha 90.00
_cell_angle_beta 109.48
_cell_angle_gamma 90.00
loop_
_symmetry_equiv_pos_as_xyz
'x,y,z'
'-x,-y,-z'
'-x,y,-z'
'x,-y,z'
'x+1/2,y+1/2,z'
'-x+1/2,-y+1/2,-z'
'-x+1/2,y+1/2,-z'
'x+1/2,-y+1/2,z'
loop_
_atom_site_label
_atom_site_fract_x
_atom_site_fract_y
_atom_site_fract_z
_atom_site_occupancy
Dy1 0.000 0.000 0.000 1
Dy2 0.000 0.332 0.000 1
Y1 0.000 0.167 0.500 1
Ho1 0.000 0.500 0.500 1
S1 0.248 0.500 0.249 1
S2 0.249 0.334 0.750 1
```



Starting from a structure optimized by DFT (PBE), the XRD peak list of Dy5Ho2Sb5 was computed for Cu Kα X-rays.
Neutral-atom scattering factors, no anomalous dispersion.

The 6 most intense peaks (5 to 70 degrees two-theta), sorted by position:
2theta  d_spacing  I (rel.)  index
28.73  3.108  70  3 1 0
29.13  3.065  100  3 1 -2
30.07  2.972  83  2 0 3
31.47  2.843  70  3 1 1
32.21  2.779  93  3 1 -3
41.61  2.171  76  0 2 0

Cell and atoms:
```
data_Dy5Ho2Sb5
_chemical_formula_sum 'Dy10 Ho4 Sb10'
_symmetry_space_group_name_H-M 'C 1 2/m 1'
_symmetry_Int_Tables_number 12
_cell_length_a 14.196
_cell_length_b 4.341
_cell_length_c 12.528
_cell_angle_alpha 90.00
_cell_angle_beta 109.87
_cell_angle_gamma 90.00
loop_
_symmetry_equiv_pos_as_xyz
'x,y,z'
'-x,-y,-z'
'-x,y,-z'
'x,-y,z'
'x+1/2,y+1/2,z'
'-x+1/2,-y+1/2,-z'
'-x+1/2,y+1/2,-z'
'x+1/2,-y+1/2,z'
loop_
_atom_site_label
_atom_site_fract_x
_atom_site_fract_y
_atom_site_fract_z
_atom_site_occupancy
Dy1 0.000 0.000 0.000 1
Dy2 0.160 0.000 0.535 1
Dy3 0.221 0.000 0.843 1
Ho1 0.046 0.500 0.286 1
Sb1 0.000 0.500 0.500 1
Sb2 0.119 0.500 0.932 1
Sb3 0.196 0.000 0.290 1
```



Starting from a structure optimized by DFT (PBE), the XRD peak list of Dy4HoSb5 was computed for Cu Kα X-rays.
Neutral-atom scattering factors, no anomalous dispersion.

The 6 most intense peaks (5 to 70 degrees two-theta), sorted by position:
2theta  d_spacing  I (rel.)  index
24.90  3.576  4  1 0 5
28.83  3.097  100  1 1 0
41.23  2.190  76  2 0 0
51.08  1.788  27  2 0 10
59.72  1.548  13  2 2 0
67.65  1.385  35  3 1 0

Cell and atoms:
```
data_Dy4HoSb5
_chemical_formula_sum 'Dy8 Ho2 Sb10'
_symmetry_space_group_name_H-M 'I 4/m m m'
_symmetry_Int_Tables_number 139
_symmetry_space_group_name_Hall '-I 4 2'
_cell_length_a 4.380
_cell_length_b 4.380
_cell_length_c 30.967
_cell_angle_alpha 90.00
_cell_angle_beta 90.00
_cell_angle_gamma 90.00
loop_
_atom_site_label
_atom_site_fract_x
_atom_site_fract_y
_atom_site_fract_z
_atom_site_occupancy
Dy1 0.000 0.000 0.100 1
Dy2 0.000 0.000 0.300 1
Ho1 0.000 0.000 0.500 1
Sb1 0.000 0.000 0.000 1
Sb2 0.000 0.000 0.200 1
Sb3 0.000 0.000 0.400 1
```